# Ag3MoF7
Theoretical X-ray powder pattern, λ = 1.5418 Å (Cu Kα). Input: the GGA+U geometry in Alexandria.

The 8 most intense peaks (5 to 70 degrees two-theta), sorted by position:
- d = 3.346 Å, I 44
- d = 3.187 Å, I 100
- d = 3.152 Å, I 46
- d = 2.804 Å, I 33
- d = 2.748 Å, I 17
- d = 2.008 Å, I 52
- d = 1.956 Å, I 15
- d = 1.921 Å, I 29

Atomic structure:
Cell: 8.0552 7.8251 6.6152 Å, 90.00 123.82 90.00°
Space group Cm (No. 8)
Unique sites:
Ag  0.0000  0.0000  0.0000 [2 per cell]
Ag  0.4927  0.2420  0.5107 [4 per cell]
Mo  0.0390  0.5000  0.0328 [2 per cell]
F  0.1261  0.2814  0.2482 [4 per cell]
F  0.1422  0.5000  0.8014 [2 per cell]
F  0.3402  0.0000  0.1309 [2 per cell]
F  0.3485  0.5000  0.2522 [2 per cell]
F  0.3617  0.1806  0.7807 [4 per cell]